(1)
For ErAlCu4, a cell relaxed with PBE gives the simulated powder diffraction line list in this record (Cu Kα (weighted mean of Kα1 and Kα2)).

Atomic structure:
Cell lengths 5.153, 5.153, 4.013 Å; angles 90.00, 90.00, 120.00 degrees
Atoms (fractional coordinates):
Er  0.000  0.000  0.000
Al  0.333  0.667  0.000
Cu  0.501  0.001  0.500
Cu  0.501  0.499  0.500
Cu  0.667  0.333  0.000
Cu  0.999  0.499  0.500

Main lines, by angle (2θ from 10° to 80°):
| 2θ (°) | I (rel.) |
| --- | --- |
| 29.95 | 807 |
| 34.82 | 279 |
| 40.42 | 533 |
| 41.66 | 1000 |
| 45.19 | 263 |
| 58.29 | 127 |
| 59.44 | 231 |
| 62.22 | 286 |
| 67.11 | 233 |
| 73.51 | 174 |


(2)
For ErAl6Cu6, a cell relaxed with PBE gives the simulated powder diffraction line list in this record (Cu Kα (weighted mean of Kα1 and Kα2)).

Atomic structure:
Cell lengths 6.597, 6.597, 6.597 Å; angles 134.63, 99.06, 98.05 degrees
Atoms (fractional coordinates):
Er  0.000  0.000  0.000
Al  0.210  0.710  0.500
Al  0.344  0.000  0.344
Al  0.349  0.349  0.000
Al  0.651  0.651  0.000
Al  0.656  0.000  0.656
Al  0.790  0.290  0.500
Cu  0.000  0.000  0.500
Cu  0.000  0.500  0.000
Cu  0.225  0.500  0.725
Cu  0.500  0.000  0.000
Cu  0.500  0.500  0.500
Cu  0.775  0.500  0.275

Main lines, by angle (2θ from 10° to 80°):
| 2θ (°) | I (rel.) |
| --- | --- |
| 14.55 | 538 |
| 29.14 | 617 |
| 29.35 | 286 |
| 41.16 | 737 |
| 41.27 | 356 |
| 41.74 | 1000 |
| 41.86 | 417 |
| 42.21 | 410 |
| 46.52 | 331 |
| 60.44 | 350 |